Entry 1:
The following is a calculated powder X-ray diffraction pattern of Li9Mn2Co5O16. It was derived from a PBE+U-relaxed structure, using Cu Ka.
No peak broadening, texture or thermal motion is included.

```
data_Li9Mn2Co5O16
_chemical_formula_sum 'Li9 Mn2 Co5 O16'
_symmetry_space_group_name_H-M 'P 1'
_symmetry_Int_Tables_number 1
_symmetry_space_group_name_Hall 'P 1'
_cell_length_a 5.792
_cell_length_b 6.623
_cell_length_c 7.740
_cell_angle_alpha 85.58
_cell_angle_beta 78.76
_cell_angle_gamma 77.23
loop_
_atom_site_label
_atom_site_fract_x
_atom_site_fract_y
_atom_site_fract_z
_atom_site_occupancy
Li1 0.000 0.000 0.000 1
Li2 0.056 0.128 0.631 1
Li3 0.119 0.243 0.264 1
Li4 0.237 0.492 0.503 1
Li5 0.359 0.757 0.755 1
Li6 0.487 0.004 0.005 1
Li7 0.616 0.246 0.261 1
Li8 0.755 0.488 0.499 1
Li9 0.875 0.746 0.753 1
Mn1 0.552 0.123 0.632 1
Mn2 0.687 0.368 0.876 1
Co1 0.181 0.370 0.877 1
Co2 0.301 0.622 0.132 1
Co3 0.423 0.880 0.385 1
Co4 0.804 0.622 0.133 1
Co5 0.934 0.881 0.385 1
O1 0.030 0.565 0.306 1
O2 0.086 0.662 0.948 1
O3 0.155 0.808 0.549 1
O4 0.215 0.926 0.195 1
O5 0.284 0.081 0.810 1
O6 0.353 0.177 0.453 1
O7 0.402 0.321 0.048 1
O8 0.465 0.417 0.706 1
O9 0.533 0.570 0.305 1
O10 0.585 0.660 0.949 1
O11 0.642 0.835 0.573 1
O12 0.715 0.921 0.206 1
O13 0.758 0.082 0.811 1
O14 0.821 0.176 0.452 1
O15 0.902 0.316 0.045 1
O16 0.956 0.430 0.714 1
```

Most intense lines, 2θ = 10–90°, low angle first:
4.832 Å, 2θ 18.36, rel. 100, hkl 0 1 -1; 2.503 Å, 2θ 35.88, rel. 14, hkl 0 2 2; 2.484 Å, 2θ 36.16, rel. 13, hkl 2 1 2; 2.466 Å, 2θ 36.43, rel. 13, hkl 2 0 -1; 2.090 Å, 2θ 43.30, rel. 28, hkl 0 3 1; 2.067 Å, 2θ 43.79, rel. 27, hkl 2 0 3; 2.053 Å, 2θ 44.12, rel. 27, hkl 2 1 -2; 1.475 Å, 2θ 63.04, rel. 15, hkl 2 -3 2; 1.465 Å, 2θ 63.50, rel. 15, hkl 2 3 4; 1.448 Å, 2θ 64.34, rel. 8, hkl 4 1 1

---

Entry 2:
The following is a calculated powder X-ray diffraction pattern of Li3Mn4B4O12. It was derived from a PBE+U-relaxed structure, using Cu Ka.
No peak broadening, texture or thermal motion is included.

```
data_Li3Mn4B4O12
_chemical_formula_sum 'Li3 Mn4 B4 O12'
_symmetry_space_group_name_H-M 'P 1'
_symmetry_Int_Tables_number 1
_symmetry_space_group_name_Hall 'P 1'
_cell_length_a 5.291
_cell_length_b 6.207
_cell_length_c 7.843
_cell_angle_alpha 79.15
_cell_angle_beta 87.43
_cell_angle_gamma 87.54
loop_
_atom_site_label
_atom_site_fract_x
_atom_site_fract_y
_atom_site_fract_z
_atom_site_occupancy
Li1 0.000 0.000 0.000 1
Li2 0.162 0.731 0.607 1
Li3 0.519 0.492 0.483 1
Mn1 0.009 0.277 0.623 1
Mn2 0.168 0.435 0.980 1
Mn3 0.500 0.793 0.109 1
Mn4 0.672 0.948 0.463 1
B1 0.015 0.624 0.293 1
B2 0.163 0.077 0.299 1
B3 0.511 0.119 0.790 1
B4 0.664 0.614 0.798 1
O1 0.023 0.193 0.171 1
O2 0.062 0.016 0.470 1
O3 0.133 0.705 0.130 1
O4 0.159 0.525 0.430 1
O5 0.255 0.159 0.827 1
O6 0.413 0.001 0.268 1
O7 0.520 0.697 0.657 1
O8 0.542 0.568 0.965 1
O9 0.617 0.202 0.624 1
O10 0.666 0.003 0.915 1
O11 0.755 0.662 0.309 1
O12 0.920 0.561 0.778 1
```

Most intense lines, 2θ = 10–90°, low angle first:
4.395 Å, 2θ 20.21, rel. 75, hkl 0 1 -1; 4.281 Å, 2θ 20.75, rel. 22, hkl 1 0 -1; 4.063 Å, 2θ 21.88, rel. 38, hkl 1 1 0; 3.924 Å, 2θ 22.66, rel. 61, hkl 1 -1 0; 2.641 Å, 2θ 33.95, rel. 100, hkl 0 2 2; 2.629 Å, 2θ 34.11, rel. 28, hkl 1 -1 2; 2.602 Å, 2θ 34.47, rel. 21, hkl 1 1 -2; 2.268 Å, 2θ 39.74, rel. 21, hkl 2 1 -1; 2.218 Å, 2θ 40.67, rel. 48, hkl 2 0 2; 1.505 Å, 2θ 61.63, rel. 21, hkl 1 4 1